Diffraction record for SrCaVInO6. The PXRD pattern is computed, not measured: it uses a DFT-relaxed cell (PBE+U, the Materials Project) and Cu Kα X-rays.

Peak list (6 most intense, 2θ from 10° to 80°, low angle first)
two_theta  Rel. int.
19.2  16
31.6  100
45.2  38
56.2  37
65.9  22
74.9  16

Structural model:
```
10
Lattice="0.0000 4.0091 4.0091 4.0091 0.0000 4.0091 4.0091 4.0091 0.0000" Properties=species:S:1:pos:R:3 pbc="T T T"
Sr 0.0000 0.0000 0.0000
Ca 4.0091 4.0091 4.0091
V 2.0046 2.0046 2.0046
In 6.0137 6.0137 6.0137
O 2.0046 2.0046 0.1168
O 2.0046 0.1168 2.0046
O 3.8923 2.0046 2.0046
O 0.1168 2.0046 2.0046
O 2.0046 3.8923 2.0046
O 2.0046 2.0046 3.8923
```